Starting from a GGA-PBE-relaxed structure, the powder diffractogram of CaLaGaO4 was simulated for Cu Ka.
Kinematic intensities with the Lorentz-polarization factor, no thermal factor.

a = 11.898 Å, b = 6.891 Å, c = 5.393 Å
α = 90.00°, β = 90.00°, γ = 90.00°
Atoms (fractional coordinates):
Ca (0.000, 0.000, 0.000)
Ca (0.000, 0.500, 0.000)
Ca (0.500, 0.000, 0.500)
Ca (0.500, 0.500, 0.500)
La (0.220, 0.250, 0.490)
La (0.280, 0.750, 0.990)
La (0.720, 0.250, 0.010)
La (0.780, 0.750, 0.510)
Ga (0.090, 0.750, 0.433)
Ga (0.410, 0.250, 0.933)
Ga (0.590, 0.750, 0.067)
Ga (0.910, 0.250, 0.567)
O (0.052, 0.250, 0.725)
O (0.092, 0.750, 0.773)
O (0.162, 0.538, 0.271)
O (0.162, 0.962, 0.271)
O (0.338, 0.038, 0.771)
O (0.338, 0.462, 0.771)
O (0.408, 0.250, 0.273)
O (0.448, 0.750, 0.225)
O (0.552, 0.250, 0.775)
O (0.592, 0.750, 0.727)
O (0.662, 0.538, 0.229)
O (0.662, 0.962, 0.229)
O (0.838, 0.038, 0.729)
O (0.838, 0.462, 0.729)
O (0.908, 0.250, 0.227)
O (0.948, 0.750, 0.275)

Largest 8 diffraction maxima, in order of rising 2θ, 10° ≤ 2θ ≤ 90°:
two_theta	I_rel
22.23	76
25.85	39
27.93	33
30.85	100
31.72	45
32.79	26
45.36	43
48.83	28

---

Starting from a GGA-PBE-relaxed structure, the powder diffractogram of AcMgPAu was simulated for Cu Ka.
Kinematic intensities with the Lorentz-polarization factor, no thermal factor.

a = 7.288 Å, b = 7.288 Å, c = 7.288 Å
α = 90.00°, β = 90.00°, γ = 90.00°
Atoms (fractional coordinates):
Ac (0.000, 0.000, 0.000)
Ac (0.000, 0.500, 0.500)
Ac (0.500, 0.000, 0.500)
Ac (0.500, 0.500, 0.000)
Mg (0.000, 0.000, 0.500)
Mg (0.000, 0.500, 0.000)
Mg (0.500, 0.000, 0.000)
Mg (0.500, 0.500, 0.500)
P (0.250, 0.250, 0.750)
P (0.250, 0.750, 0.250)
P (0.750, 0.250, 0.250)
P (0.750, 0.750, 0.750)
Au (0.250, 0.250, 0.250)
Au (0.250, 0.750, 0.750)
Au (0.750, 0.250, 0.750)
Au (0.750, 0.750, 0.250)

Largest 8 diffraction maxima, in order of rising 2θ, 10° ≤ 2θ ≤ 90°:
two_theta	I_rel
21.12	66
34.82	100
41.08	38
50.07	18
54.92	17
62.43	38
66.69	13
83.99	17

---

Starting from a GGA-PBE-relaxed structure, the powder diffractogram of TlSn2BiAu4 was simulated for Cu Ka.
Kinematic intensities with the Lorentz-polarization factor, no thermal factor.

a = 7.125 Å, b = 7.110 Å, c = 5.891 Å
α = 65.69°, β = 65.43°, γ = 48.89°
Atoms (fractional coordinates):
Tl (0.000, 0.000, 0.000)
Sn (0.250, 0.250, 0.250)
Sn (0.750, 0.750, 0.750)
Bi (0.500, 0.500, 0.500)
Au (0.000, 0.000, 0.500)
Au (0.248, 0.248, 0.752)
Au (0.500, 0.500, 0.000)
Au (0.752, 0.752, 0.248)

Largest 8 diffraction maxima, in order of rising 2θ, 10° ≤ 2θ ≤ 90°:
two_theta	I_rel
30.35	100
30.99	47
43.31	19
43.59	19
43.93	74
54.21	20
54.44	20
71.99	18

---

Starting from a GGA-PBE-relaxed structure, the powder diffractogram of Pr6Tm8In was simulated for Cu Ka.
Kinematic intensities with the Lorentz-polarization factor, no thermal factor.

a = 9.475 Å, b = 9.475 Å, c = 6.345 Å
α = 90.00°, β = 90.00°, γ = 120.00°
Atoms (fractional coordinates):
Pr (0.088, 0.449, 0.189)
Pr (0.361, 0.912, 0.189)
Pr (0.449, 0.361, 0.811)
Pr (0.551, 0.639, 0.189)
Pr (0.639, 0.088, 0.811)
Pr (0.912, 0.551, 0.811)
Tm (0.040, 0.262, 0.689)
Tm (0.222, 0.960, 0.689)
Tm (0.262, 0.222, 0.311)
Tm (0.333, 0.667, 0.677)
Tm (0.667, 0.333, 0.323)
Tm (0.738, 0.778, 0.689)
Tm (0.778, 0.040, 0.311)
Tm (0.960, 0.738, 0.311)
In (0.000, 0.000, 0.000)

Largest 8 diffraction maxima, in order of rising 2θ, 10° ≤ 2θ ≤ 90°:
two_theta	I_rel
28.13	16
28.79	21
32.12	100
34.01	18
40.68	15
51.00	18
59.27	12
61.56	13

---

Starting from a GGA-PBE-relaxed structure, the powder diffractogram of Ti2Zn2C was simulated for Cu Ka.
Kinematic intensities with the Lorentz-polarization factor, no thermal factor.

a = 3.042 Å, b = 3.042 Å, c = 26.842 Å
α = 90.00°, β = 90.00°, γ = 120.00°
Atoms (fractional coordinates):
Ti (0.000, 0.000, 0.124)
Ti (0.000, 0.000, 0.876)
Ti (0.333, 0.667, 0.543)
Ti (0.333, 0.667, 0.790)
Ti (0.667, 0.333, 0.210)
Ti (0.667, 0.333, 0.457)
Zn (0.000, 0.000, 0.373)
Zn (0.000, 0.000, 0.627)
Zn (0.333, 0.667, 0.040)
Zn (0.333, 0.667, 0.294)
Zn (0.667, 0.333, 0.706)
Zn (0.667, 0.333, 0.960)
C (0.000, 0.000, 0.500)
C (0.333, 0.667, 0.167)
C (0.667, 0.333, 0.833)

Largest 8 diffraction maxima, in order of rising 2θ, 10° ≤ 2θ ≤ 90°:
two_theta	I_rel
36.65	100
40.32	25
43.69	70
60.91	24
66.02	18
73.24	12
75.61	21
77.92	11

---

Starting from a GGA-PBE-relaxed structure, the powder diffractogram of Ag3MoCl9 was simulated for Cu Ka.
Kinematic intensities with the Lorentz-polarization factor, no thermal factor.

a = 10.200 Å, b = 10.200 Å, c = 12.292 Å
α = 122.50°, β = 122.50°, γ = 55.30°
Atoms (fractional coordinates):
Ag (0.082, 0.656, 0.770)
Ag (0.099, 0.901, 0.500)
Ag (0.236, 0.512, 0.553)
Ag (0.512, 0.236, 0.053)
Ag (0.656, 0.082, 0.270)
Ag (0.901, 0.099, 0.000)
Mo (0.572, 0.944, 0.492)
Mo (0.944, 0.572, 0.992)
Cl (0.057, 0.496, 0.180)
Cl (0.086, 0.410, 0.566)
Cl (0.162, 0.873, 0.975)
Cl (0.212, 0.522, 0.015)
Cl (0.298, 0.987, 0.349)
Cl (0.346, 0.663, 0.550)
Cl (0.410, 0.086, 0.066)
Cl (0.496, 0.057, 0.680)
Cl (0.522, 0.212, 0.515)
Cl (0.635, 0.676, 0.465)
Cl (0.663, 0.346, 0.050)
Cl (0.663, 0.828, 0.308)
Cl (0.676, 0.635, 0.965)
Cl (0.828, 0.663, 0.808)
Cl (0.850, 0.920, 0.640)
Cl (0.873, 0.162, 0.475)
Cl (0.920, 0.850, 0.140)
Cl (0.987, 0.298, 0.849)

Largest 8 diffraction maxima, in order of rising 2θ, 10° ≤ 2θ ≤ 90°:
two_theta	I_rel
12.32	82
16.61	100
18.16	50
18.77	48
19.91	32
20.82	39
26.96	33
29.15	42

---

Starting from a GGA-PBE-relaxed structure, the powder diffractogram of LiTc2 was simulated for Cu Ka.
Kinematic intensities with the Lorentz-polarization factor, no thermal factor.

a = 4.323 Å, b = 4.323 Å, c = 2.560 Å
α = 90.00°, β = 90.00°, γ = 120.00°
Atoms (fractional coordinates):
Li (0.000, 0.000, 0.000)
Tc (0.333, 0.667, 0.626)
Tc (0.667, 0.333, 0.374)

Largest 8 diffraction maxima, in order of rising 2θ, 10° ≤ 2θ ≤ 90°:
two_theta	I_rel
23.77	98
35.06	24
41.79	100
42.80	93
55.66	37
61.36	31
77.00	31
79.07	21

---

Starting from a GGA-PBE-relaxed structure, the powder diffractogram of Y3ScHg4 was simulated for Cu Ka.
Kinematic intensities with the Lorentz-polarization factor, no thermal factor.

a = 3.664 Å, b = 3.664 Å, c = 14.812 Å
α = 90.00°, β = 90.00°, γ = 90.00°
Atoms (fractional coordinates):
Y (0.000, 0.000, 0.000)
Y (0.000, 0.000, 0.257)
Y (0.000, 0.000, 0.743)
Sc (0.000, 0.000, 0.500)
Hg (0.500, 0.500, 0.128)
Hg (0.500, 0.500, 0.388)
Hg (0.500, 0.500, 0.612)
Hg (0.500, 0.500, 0.872)

Largest 8 diffraction maxima, in order of rising 2θ, 10° ≤ 2θ ≤ 90°:
two_theta	I_rel
24.03	11
24.29	23
34.43	100
34.62	52
42.59	10
49.77	19
61.56	16
61.92	37

---

Starting from a GGA-PBE-relaxed structure, the powder diffractogram of Nd3DyIn2 was simulated for Cu Ka.
Kinematic intensities with the Lorentz-polarization factor, no thermal factor.

a = 5.323 Å, b = 10.096 Å, c = 6.847 Å
α = 90.00°, β = 90.00°, γ = 90.00°
Atoms (fractional coordinates):
Nd (0.000, 0.036, 0.000)
Nd (0.000, 0.326, 0.340)
Nd (0.000, 0.674, 0.840)
Nd (0.000, 0.964, 0.500)
Nd (0.500, 0.182, 0.728)
Nd (0.500, 0.818, 0.228)
Dy (0.500, 0.461, 0.065)
Dy (0.500, 0.539, 0.565)
In (0.000, 0.357, 0.825)
In (0.000, 0.643, 0.325)
In (0.500, 0.146, 0.245)
In (0.500, 0.854, 0.745)

Largest 8 diffraction maxima, in order of rising 2θ, 10° ≤ 2θ ≤ 90°:
two_theta	I_rel
31.06	35
31.45	100
31.58	35
32.33	86
33.68	54
37.47	17
46.85	29
57.06	20

---

Starting from a GGA-PBE-relaxed structure, the powder diffractogram of PmZn4Pt was simulated for Cu Ka.
Kinematic intensities with the Lorentz-polarization factor, no thermal factor.

a = 7.721 Å, b = 4.079 Å, c = 7.110 Å
α = 90.00°, β = 90.00°, γ = 90.00°
Atoms (fractional coordinates):
Pm (0.250, 0.000, 0.123)
Pm (0.750, 0.000, 0.877)
Zn (0.000, 0.000, 0.500)
Zn (0.053, 0.500, 0.812)
Zn (0.250, 0.500, 0.454)
Zn (0.447, 0.500, 0.812)
Zn (0.500, 0.000, 0.500)
Zn (0.553, 0.500, 0.188)
Zn (0.750, 0.500, 0.546)
Zn (0.947, 0.500, 0.188)
Pt (0.250, 0.000, 0.716)
Pt (0.750, 0.000, 0.284)

Largest 8 diffraction maxima, in order of rising 2θ, 10° ≤ 2θ ≤ 90°:
two_theta	I_rel
23.04	39
31.92	64
34.38	74
35.46	91
39.79	42
41.00	100
43.45	48
44.42	53